No. 1
Diffraction record for Sr2CaI6. The powder diffractogram is calculated, not measured: it uses a GGA-PBE-relaxed structure and CuKα.
No peak broadening, texture or thermal motion is included.

Main lines, low angle first (10 to 90 degrees two-theta):
2theta, intensity
21.28, 23
21.41, 37
23.25, 51
24.32, 66
24.62, 48
27.73, 93
31.55, 40
31.81, 100
38.92, 20
41.54, 29
47.53, 19
56.10, 20

Structural model:
Cell lengths 13.266, 13.266, 8.771 Å; angles 100.89, 100.89, 33.52 degrees
Element x y z (fractional)
1 Sr 0.054 0.612 0.860
2 Sr 0.388 0.946 0.640
3 Sr 0.612 0.054 0.360
4 Sr 0.946 0.388 0.140
5 Ca 0.330 0.670 0.250
6 Ca 0.670 0.330 0.750
7 I 0.062 0.120 0.832
8 I 0.120 0.062 0.332
9 I 0.270 0.277 0.092
10 I 0.277 0.270 0.592
11 I 0.403 0.445 0.467
12 I 0.445 0.403 0.967
13 I 0.555 0.597 0.033
14 I 0.597 0.555 0.533
15 I 0.723 0.730 0.408
16 I 0.730 0.723 0.908
17 I 0.880 0.938 0.668
18 I 0.938 0.880 0.168

---

No. 2
Diffraction record for Dy2CdCu2. The powder diffractogram is calculated, not measured: it uses a GGA-PBE-relaxed structure and CuKα.
No peak broadening, texture or thermal motion is included.

Main lines, low angle first (10 to 90 degrees two-theta):
2theta, intensity
26.11, 20
33.21, 17
33.98, 59
36.02, 100
37.27, 44
49.24, 17
49.95, 16
55.68, 19
57.09, 18
63.94, 17
67.67, 14
84.55, 15

Structural model:
Cell lengths 7.630, 7.630, 3.652 Å; angles 90.00, 90.00, 90.00 degrees
Element x y z (fractional)
1 Dy 0.177 0.323 0.000
2 Dy 0.323 0.823 0.000
3 Dy 0.677 0.177 0.000
4 Dy 0.823 0.677 0.000
5 Cd 0.000 0.000 0.500
6 Cd 0.500 0.500 0.500
7 Cu 0.117 0.617 0.500
8 Cu 0.383 0.117 0.500
9 Cu 0.617 0.883 0.500
10 Cu 0.883 0.383 0.500